# 1
Computed powder diffractogram
Compound: Li2MnSiO4
Radiation: Cu Kα (λ = 1.5418 Å)
Structure: a PBE+U-relaxed structure
Peak positions follow from Bragg's law for the DFT cell and can differ from measured ones.

Atomic structure:
a = 7.4433 Å, b = 7.8351 Å, c = 6.3445 Å
α = 90.00°, β = 90.00°, γ = 90.00°
Space group C222_1 (No. 20)
Unique sites:
Li 0.0000 0.1901 0.2500 [4 per cell]
Li 0.1774 0.5000 0.5000 [4 per cell]
Mn 0.0000 0.1787 0.7500 [4 per cell]
Si 0.1741 0.5000 0.0000 [4 per cell]
O 0.0378 0.3332 0.0063 [8 per cell]
O 0.1996 0.0081 0.2852 [8 per cell]

Main lines, low angle first (2θ from 15° to 90°):
21.62 deg, rel. 100.0, hkl 1 1 1; 23.91 deg, rel. 12.5, hkl 2 0 0; 26.74 deg, rel. 13.9, hkl 0 2 1; 27.79 deg, rel. 8.3, hkl 2 0 1; 32.75 deg, rel. 50.5, hkl 1 1 2; 33.20 deg, rel. 53.9, hkl 2 2 0; 36.18 deg, rel. 16.6, hkl 2 2 1; 40.71 deg, rel. 12.7, hkl 3 1 1; 46.10 deg, rel. 9.5, hkl 1 1 3; 46.67 deg, rel. 16.4, hkl 1 3 2; 58.16 deg, rel. 9.5, hkl 0 0 4; 59.03 deg, rel. 33.0, hkl 3 3 2

# 2
Computed powder diffractogram
Compound: Li2V2P2O11
Radiation: Cu Kα (λ = 1.5418 Å)
Structure: a PBE+U-relaxed structure
Peak positions follow from Bragg's law for the DFT cell and can differ from measured ones.

Atomic structure:
a = 7.8603 Å, b = 10.1688 Å, c = 6.2103 Å
α = 90.00°, β = 90.00°, γ = 90.00°
Space group P2_12_12 (No. 18)
Unique sites:
Li 0.1921 0.1358 0.4576 [4 per cell]
V 0.2066 0.9596 0.9556 [4 per cell]
P 0.0593 0.6950 0.2204 [4 per cell]
O 0.0000 0.0000 0.8396 [2 per cell]
O 0.0050 0.7550 0.4316 [4 per cell]
O 0.0854 0.3765 0.0965 [4 per cell]
O 0.1258 0.7994 0.0563 [4 per cell]
O 0.2071 0.5938 0.2602 [4 per cell]
O 0.2275 0.0456 0.1766 [4 per cell]

Main lines, low angle first (2θ from 15° to 90°):
16.73 deg, rel. 55.6, hkl 0 1 1; 18.21 deg, rel. 77.5, hkl 1 0 1; 22.60 deg, rel. 62.3, hkl 0 2 1; 24.28 deg, rel. 21.4, hkl 2 1 0; 25.32 deg, rel. 93.4, hkl 1 2 1; 26.85 deg, rel. 26.7, hkl 2 0 1; 28.70 deg, rel. 100.0, hkl 2 2 0; 30.07 deg, rel. 15.6, hkl 0 1 2; 32.19 deg, rel. 33.7, hkl 2 2 1; 35.76 deg, rel. 33.8, hkl 1 2 2; 38.32 deg, rel. 18.8, hkl 3 1 1; 41.06 deg, rel. 20.6, hkl 1 3 2

# 3
Computed powder diffractogram
Compound: Mn3SnO8
Radiation: Cu Kα (λ = 1.5418 Å)
Structure: a PBE+U-relaxed structure
Peak positions follow from Bragg's law for the DFT cell and can differ from measured ones.

Atomic structure:
a = 5.8264 Å, b = 5.8264 Å, c = 9.4308 Å
α = 90.00°, β = 90.00°, γ = 120.00°
Space group P6_3mc (No. 186)
Unique sites:
Mn 0.1677 0.3354 0.0000 [6 per cell]
Sn 0.3333 0.6667 0.2800 [2 per cell]
O 0.0000 0.0000 0.1002 [2 per cell]
O 0.0344 0.5172 0.1161 [6 per cell]
O 0.1587 0.3174 0.3910 [6 per cell]
O 0.3333 0.6667 0.8954 [2 per cell]

Main lines, low angle first (2θ from 15° to 90°):
18.82 deg, rel. 14.9, hkl 0 0 2; 19.96 deg, rel. 100.0, hkl 1 0 1; 25.86 deg, rel. 32.6, hkl 1 0 2; 33.59 deg, rel. 37.0, hkl 1 0 3; 36.25 deg, rel. 49.8, hkl 1 1 2; 36.88 deg, rel. 31.5, hkl 2 0 1; 40.55 deg, rel. 16.8, hkl 2 0 2; 46.13 deg, rel. 26.1, hkl 2 0 3; 48.71 deg, rel. 14.7, hkl 2 1 1; 56.43 deg, rel. 20.7, hkl 2 1 3; 61.37 deg, rel. 28.3, hkl 2 0 5; 63.91 deg, rel. 23.1, hkl 2 2 0

# 4
Computed powder diffractogram
Compound: Fe10O9F11
Radiation: Cu Kα (λ = 1.5418 Å)
Structure: a PBE+U-relaxed structure
Peak positions follow from Bragg's law for the DFT cell and can differ from measured ones.

Atomic structure:
a = 15.4170 Å, b = 7.0811 Å, c = 6.4229 Å
α = 90.00°, β = 90.00°, γ = 90.00°
Space group Amm2 (No. 38)
Unique sites:
Fe 0.0000 0.0000 0.0000 [2 per cell]
Fe 0.1003 0.0000 0.4998 [4 per cell]
Fe 0.1978 0.0000 0.9992 [4 per cell]
Fe 0.3019 0.0000 0.4945 [4 per cell]
Fe 0.3936 0.0000 0.9884 [4 per cell]
Fe 0.5000 0.0000 0.5237 [2 per cell]
O 0.0993 0.0000 0.7991 [4 per cell]
O 0.0996 0.0000 0.2000 [4 per cell]
O 0.2969 0.0000 0.7938 [4 per cell]
O 0.2994 0.0000 0.1974 [4 per cell]
O 0.5000 0.0000 0.8272 [2 per cell]
F 0.0000 0.1929 0.4997 [4 per cell]
F 0.1998 0.1924 0.4975 [8 per cell]
F 0.3956 0.2016 0.4998 [8 per cell]
F 0.5000 0.0000 0.2103 [2 per cell]

Main lines, low angle first (2θ from 15° to 90°):
25.15 deg, rel. 100.0, hkl 0 2 0; 27.78 deg, rel. 87.3, hkl 0 0 2; 34.67 deg, rel. 99.5, hkl 5 1 1; 37.82 deg, rel. 16.0, hkl 0 2 2; 38.73 deg, rel. 16.7, hkl 5 2 0; 40.56 deg, rel. 15.0, hkl 5 0 2; 50.74 deg, rel. 68.4, hkl 5 3 1; 51.63 deg, rel. 20.5, hkl 0 4 0; 53.70 deg, rel. 48.2, hkl 5 1 3; 57.38 deg, rel. 14.9, hkl 0 0 4; 60.01 deg, rel. 16.3, hkl 10 0 0; 66.28 deg, rel. 40.6, hkl 5 3 3

# 5
Computed powder diffractogram
Compound: Li9Mn15O32
Radiation: Cu Kα (λ = 1.5418 Å)
Structure: a PBE+U-relaxed structure
Peak positions follow from Bragg's law for the DFT cell and can differ from measured ones.

Atomic structure:
a = 5.8710 Å, b = 8.4377 Å, c = 11.7931 Å
α = 89.98°, β = 89.27°, γ = 89.93°
Space group P1 (No. 1)
Unique sites:
Li 0.0000 0.0000 0.0000 [1 per cell]
Li 0.9997 0.2469 0.2426 [1 per cell]
Li 0.4969 0.7367 0.9889 [1 per cell]
Li 0.4979 0.4872 0.7406 [1 per cell]
Li 0.5034 0.7454 0.4956 [1 per cell]
Li 0.7439 0.3669 0.4968 [1 per cell]
Li 0.9801 0.9935 0.4976 [1 per cell]
Li 0.9830 0.2470 0.7369 [1 per cell]
Li 0.9964 0.6243 0.1163 [1 per cell]
Mn 0.9995 0.6161 0.8687 [1 per cell]
Mn 0.2395 0.3687 0.4943 [1 per cell]
Mn 0.2393 0.8683 0.7418 [1 per cell]
Mn 0.2428 0.8685 0.2451 [1 per cell]
Mn 0.2453 0.3783 0.9931 [1 per cell]
Mn 0.4792 0.1217 0.6160 [1 per cell]
Mn 0.4897 0.1267 0.8661 [1 per cell]
Mn 0.4932 0.1173 0.3716 [1 per cell]
Mn 0.4932 0.4992 0.2503 [1 per cell]
Mn 0.5021 0.1186 0.1189 [1 per cell]
Mn 0.7383 0.8671 0.7428 [1 per cell]
Mn 0.7489 0.8676 0.2472 [1 per cell]
Mn 0.7535 0.3758 0.9937 [1 per cell]
Mn 0.9957 0.6119 0.6189 [1 per cell]
Mn 0.9959 0.6194 0.3744 [1 per cell]
O 0.9999 0.8473 0.8588 [1 per cell]
O 0.0027 0.3821 0.8806 [1 per cell]
O 0.0086 0.3898 0.6078 [1 per cell]
O 0.0150 0.3962 0.3761 [1 per cell]
O 0.2242 0.6349 0.7412 [1 per cell]
O 0.2235 0.6435 0.2549 [1 per cell]
O 0.2269 0.6014 0.9806 [1 per cell]
O 0.2266 0.6023 0.4953 [1 per cell]
O 0.2411 0.0953 0.7340 [1 per cell]
O 0.2575 0.1346 0.4909 [1 per cell]
O 0.2748 0.1019 0.2443 [1 per cell]
O 0.2770 0.1415 0.9951 [1 per cell]
O 0.4660 0.3444 0.6084 [1 per cell]
O 0.4774 0.8855 0.6287 [1 per cell]
O 0.4827 0.3441 0.3783 [1 per cell]
O 0.4872 0.8833 0.8508 [1 per cell]
O 0.4901 0.8843 0.3576 [1 per cell]
O 0.4964 0.3814 0.1012 [1 per cell]
O 0.5008 0.3609 0.8836 [1 per cell]
O 0.5011 0.8611 0.1395 [1 per cell]
O 0.6960 0.1148 0.4944 [1 per cell]
O 0.6969 0.1210 0.7364 [1 per cell]
O 0.7199 0.1019 0.2495 [1 per cell]
O 0.7328 0.1443 0.0023 [1 per cell]
O 0.7669 0.6407 0.2603 [1 per cell]
O 0.7694 0.6010 0.9806 [1 per cell]
O 0.7833 0.6144 0.7429 [1 per cell]
O 0.7858 0.6212 0.4990 [1 per cell]
O 0.9920 0.8499 0.6342 [1 per cell]
O 0.9952 0.8590 0.3582 [1 per cell]
O 0.9963 0.8704 0.1418 [1 per cell]
O 0.9976 0.3770 0.0994 [1 per cell]

Main lines, low angle first (2θ from 15° to 90°):
18.38 deg, rel. 100.0, hkl 0 1 2; 35.38 deg, rel. 21.5, hkl 0 3 -2; 35.55 deg, rel. 15.0, hkl 1 -1 4; 35.92 deg, rel. 20.6, hkl 2 1 -2; 42.87 deg, rel. 20.8, hkl 0 4 0; 43.21 deg, rel. 20.2, hkl 2 0 4; 43.80 deg, rel. 19.8, hkl 2 0 -4; 56.75 deg, rel. 8.6, hkl 0 5 2; 62.51 deg, rel. 14.0, hkl 2 -4 4; 62.96 deg, rel. 13.8, hkl -2 4 4; 63.07 deg, rel. 7.0, hkl 0 0 8; 63.37 deg, rel. 6.9, hkl 4 0 0